Computed X-ray diffraction stick pattern
Compound: La4Nd2Al
Radiation: λ = 1.5418 Å (Cu Kα)
Structure: a DFT-relaxed cell (GGA-PBE, Alexandria)
Neutral-atom scattering factors, no anomalous dispersion.

Peak list (8 most intense, 2θ from 5° to 70°, low angle first)
| 2θ/deg | d/Å | I_rel |
| --- | --- | --- |
| 27.6 | 3.233 | 100 |
| 27.9 | 3.203 | 65 |
| 28.9 | 3.086 | 96 |
| 30.0 | 2.977 | 85 |
| 30.9 | 2.894 | 77 |
| 31.3 | 2.860 | 62 |
| 31.8 | 2.813 | 54 |
| 34.4 | 2.604 | 77 |

Cell and atoms:
a b c (Å): 6.4261 11.0834 6.6786
angles (deg): 90.00 90.64 90.00
Space group P2_1/c (No. 14)
Unique sites:
La1 0.0825 0.1500 0.0518
La2 0.3962 0.7326 0.7686
Nd1 0.2522 0.0295 0.5667
Al1 0.5000 0.0000 0.0000

Computed X-ray diffraction stick pattern
Compound: LaAlNi4
Radiation: λ = 1.5418 Å (Cu Kα)
Structure: a DFT-relaxed cell (GGA-PBE, Alexandria)
Neutral-atom scattering factors, no anomalous dispersion.

Peak list (8 most intense, 2θ from 5° to 70°, low angle first)
| 2θ/deg | d/Å | I_rel |
| --- | --- | --- |
| 29.8 | 2.996 | 30 |
| 30.4 | 2.940 | 44 |
| 36.1 | 2.490 | 54 |
| 40.7 | 2.216 | 34 |
| 41.3 | 2.188 | 87 |
| 42.6 | 2.124 | 100 |
| 44.6 | 2.033 | 45 |
| 58.6 | 1.575 | 25 |

Cell and atoms:
a b c (Å): 5.1922 8.5146 4.0652
angles (deg): 90.00 90.00 90.00
Space group Cmmm (No. 65)
Unique sites:
La1 0.0000 0.0000 0.0000
Al1 0.0000 0.5000 0.5000
Ni1 0.0000 0.3321 0.0000
Ni2 0.2500 0.2500 0.5000

Computed X-ray diffraction stick pattern
Compound: La2Al7Ni
Radiation: λ = 1.5418 Å (Cu Kα)
Structure: a DFT-relaxed cell (GGA-PBE, Alexandria)
Neutral-atom scattering factors, no anomalous dispersion.

Peak list (8 most intense, 2θ from 5° to 70°, low angle first)
| 2θ/deg | d/Å | I_rel |
| --- | --- | --- |
| 16.5 | 5.373 | 28 |
| 22.1 | 4.027 | 53 |
| 29.1 | 3.071 | 47 |
| 32.4 | 2.764 | 94 |
| 33.6 | 2.666 | 100 |
| 41.6 | 2.172 | 49 |
| 47.2 | 1.926 | 36 |
| 53.7 | 1.707 | 44 |

Cell and atoms:
a b c (Å): 6.1421 6.1421 21.4934
angles (deg): 90.00 90.00 90.00
Space group I4_1md (No. 109)
Unique sites:
La1 0.0000 0.0000 0.0000
La2 0.0000 0.0000 0.4973
Al1 0.0000 0.0000 0.1854
Al2 0.0000 0.0000 0.3050
Al3 0.0000 0.0000 0.7925
Al4 0.2288 0.2576 0.8742
Ni1 0.0000 0.0000 0.6824

Computed X-ray diffraction stick pattern
Compound: La2Al5Ni3
Radiation: λ = 1.5418 Å (Cu Kα)
Structure: a DFT-relaxed cell (GGA-PBE, Alexandria)
Neutral-atom scattering factors, no anomalous dispersion.

Peak list (8 most intense, 2θ from 5° to 70°, low angle first)
| 2θ/deg | d/Å | I_rel |
| --- | --- | --- |
| 22.9 | 3.887 | 36 |
| 31.7 | 2.824 | 20 |
| 33.5 | 2.679 | 37 |
| 33.6 | 2.667 | 100 |
| 36.2 | 2.480 | 40 |
| 38.9 | 2.316 | 22 |
| 43.2 | 2.096 | 46 |
| 57.7 | 1.598 | 22 |

Cell and atoms:
a b c (Å): 10.3729 12.5135 5.6482
angles (deg): 90.00 90.00 90.00
Space group Ibam (No. 72)
Unique sites:
La1 0.2201 0.1419 0.0000
Al1 0.0000 0.0000 0.2500
Al2 0.0000 0.2864 0.2500
Al3 0.1613 0.4118 0.0000
Ni1 0.0000 0.5000 0.2500
Ni2 0.1008 0.1408 0.5000

Computed X-ray diffraction stick pattern
Compound: LaAlNi3
Radiation: λ = 1.5418 Å (Cu Kα)
Structure: a DFT-relaxed cell (GGA-PBE, Alexandria)
Neutral-atom scattering factors, no anomalous dispersion.

Peak list (8 most intense, 2θ from 5° to 70°, low angle first)
| 2θ/deg | d/Å | I_rel |
| --- | --- | --- |
| 28.4 | 3.141 | 27 |
| 31.7 | 2.823 | 100 |
| 38.4 | 2.345 | 59 |
| 39.9 | 2.258 | 36 |
| 41.3 | 2.186 | 66 |
| 50.5 | 1.808 | 18 |
| 58.8 | 1.571 | 45 |
| 65.1 | 1.432 | 23 |

Cell and atoms:
a b c (Å): 5.4883 7.2334 4.5166
angles (deg): 90.00 90.00 90.00
Space group Cmmm (No. 65)
Unique sites:
La1 0.0000 0.0000 0.0000
Al1 0.0000 0.5000 0.5000
Ni1 0.0000 0.5000 0.0000
Ni2 0.2500 0.2500 0.5000

Computed X-ray diffraction stick pattern
Compound: La5Al3Ni2
Radiation: λ = 1.5418 Å (Cu Kα)
Structure: a DFT-relaxed cell (GGA-PBE, Alexandria)
Neutral-atom scattering factors, no anomalous dispersion.

Peak list (8 most intense, 2θ from 5° to 70°, low angle first)
| 2θ/deg | d/Å | I_rel |
| --- | --- | --- |
| 22.3 | 3.994 | 53 |
| 22.7 | 3.916 | 51 |
| 30.3 | 2.946 | 100 |
| 31.1 | 2.876 | 76 |
| 33.6 | 2.668 | 56 |
| 34.4 | 2.608 | 65 |
| 34.5 | 2.600 | 46 |
| 36.2 | 2.480 | 57 |

Cell and atoms:
a b c (Å): 14.2762 6.8945 10.4327
angles (deg): 90.00 90.00 90.00
Space group Cmcm (No. 63)
Unique sites:
La1 0.0000 0.1090 0.2500
La2 0.1251 0.5000 0.0000
La3 0.2177 0.2459 0.7500
Al1 0.0000 0.3810 0.7500
Al2 0.1475 0.0000 0.0000
Ni1 0.0000 0.1713 0.5595

Computed X-ray diffraction stick pattern
Compound: LaAl5Ni3
Radiation: λ = 1.5418 Å (Cu Kα)
Structure: a DFT-relaxed cell (GGA-PBE, Alexandria)
Neutral-atom scattering factors, no anomalous dispersion.

Peak list (8 most intense, 2θ from 5° to 70°, low angle first)
| 2θ/deg | d/Å | I_rel |
| --- | --- | --- |
| 27.7 | 3.221 | 74 |
| 29.1 | 3.067 | 48 |
| 31.2 | 2.862 | 31 |
| 32.2 | 2.778 | 61 |
| 34.6 | 2.594 | 100 |
| 36.4 | 2.468 | 28 |
| 43.0 | 2.101 | 28 |
| 45.6 | 1.987 | 61 |

Cell and atoms:
a b c (Å): 3.9744 12.3768 12.2696
angles (deg): 90.00 90.00 90.00
Space group Cmcm (No. 63)
Unique sites:
La1 0.0000 0.1689 0.2500
Al1 0.0000 0.0000 0.0000
Al2 0.0000 0.2027 0.5638
Al3 0.0000 0.4446 0.1484
Ni1 0.0000 0.1216 0.7500
Ni2 0.0000 0.3924 0.5370

Computed X-ray diffraction stick pattern
Compound: La3AlNi3
Radiation: λ = 1.5418 Å (Cu Kα)
Structure: a DFT-relaxed cell (GGA-PBE, Alexandria)
Neutral-atom scattering factors, no anomalous dispersion.

Peak list (8 most intense, 2θ from 5° to 70°, low angle first)
| 2θ/deg | d/Å | I_rel |
| --- | --- | --- |
| 26.6 | 3.352 | 48 |
| 30.3 | 2.947 | 89 |
| 30.8 | 2.903 | 55 |
| 33.3 | 2.692 | 61 |
| 35.0 | 2.567 | 62 |
| 38.7 | 2.324 | 100 |
| 44.1 | 2.053 | 50 |
| 60.3 | 1.534 | 48 |

Cell and atoms:
a b c (Å): 4.1051 10.6943 13.8302
angles (deg): 90.00 90.00 90.00
Space group Cmcm (No. 63)
Unique sites:
La1 0.0000 0.0018 0.2500
La2 0.0000 0.2809 0.1047
Al1 0.0000 0.0000 0.0000
Ni1 0.0000 0.3057 0.7500
Ni2 0.0000 0.4313 0.5861

Computed X-ray diffraction stick pattern
Compound: La2Al6Ni3
Radiation: λ = 1.5418 Å (Cu Kα)
Structure: a DFT-relaxed cell (GGA-PBE, Alexandria)
Neutral-atom scattering factors, no anomalous dispersion.

Peak list (8 most intense, 2θ from 5° to 70°, low angle first)
| 2θ/deg | d/Å | I_rel |
| --- | --- | --- |
| 13.4 | 6.605 | 23 |
| 23.3 | 3.814 | 24 |
| 32.0 | 2.799 | 100 |
| 41.0 | 2.202 | 38 |
| 42.3 | 2.135 | 26 |
| 52.9 | 1.730 | 21 |
| 61.7 | 1.504 | 22 |
| 69.0 | 1.361 | 23 |

Cell and atoms:
a b c (Å): 7.6273 7.6273 4.1198
angles (deg): 90.00 90.00 120.00
Space group P-62m (No. 189)
Unique sites:
La1 0.3333 0.6667 0.0000
Al1 0.0000 0.2005 0.0000
Al2 0.0000 0.7041 0.5000
Ni1 0.0000 0.3658 0.5000

Computed X-ray diffraction stick pattern
Compound: LaAl5Ni2
Radiation: λ = 1.5418 Å (Cu Kα)
Structure: a DFT-relaxed cell (GGA-PBE, Alexandria)
Neutral-atom scattering factors, no anomalous dispersion.

Peak list (8 most intense, 2θ from 5° to 70°, low angle first)
| 2θ/deg | d/Å | I_rel |
| --- | --- | --- |
| 25.3 | 3.519 | 41 |
| 30.3 | 2.948 | 38 |
| 31.5 | 2.839 | 100 |
| 35.1 | 2.556 | 72 |
| 35.5 | 2.527 | 41 |
| 45.1 | 2.012 | 30 |
| 45.3 | 2.002 | 42 |
| 48.7 | 1.871 | 46 |

Cell and atoms:
a b c (Å): 4.0246 7.0375 9.7397
angles (deg): 90.00 90.00 90.00
Space group Immm (No. 71)
Unique sites:
La1 0.0000 0.0000 0.0000
Al1 0.0000 0.1899 0.3406
Al2 0.0000 0.5000 0.0000
Ni1 0.0000 0.5000 0.2356

Computed X-ray diffraction stick pattern
Compound: La3Al3Ni2
Radiation: λ = 1.5418 Å (Cu Kα)
Structure: a DFT-relaxed cell (GGA-PBE, Alexandria)
Neutral-atom scattering factors, no anomalous dispersion.

Peak list (8 most intense, 2θ from 5° to 70°, low angle first)
| 2θ/deg | d/Å | I_rel |
| --- | --- | --- |
| 25.9 | 3.435 | 66 |
| 30.2 | 2.962 | 79 |
| 31.6 | 2.834 | 100 |
| 34.7 | 2.584 | 99 |
| 35.6 | 2.522 | 39 |
| 36.2 | 2.481 | 79 |
| 36.7 | 2.449 | 38 |
| 38.5 | 2.338 | 66 |

Cell and atoms:
a b c (Å): 8.3278 15.4754 5.5274
angles (deg): 90.00 90.00 90.00
Space group Pnma (No. 62)
Unique sites:
La1 0.0383 0.1121 0.0911
La2 0.1913 0.2500 0.5552
Al1 0.1600 0.7500 0.5431
Al2 0.1743 0.0331 0.5958
Ni1 0.1087 0.6023 0.3643

Computed X-ray diffraction stick pattern
Compound: La2AlNi9
Radiation: λ = 1.5418 Å (Cu Kα)
Structure: a DFT-relaxed cell (GGA-PBE, Alexandria)
Neutral-atom scattering factors, no anomalous dispersion.

Peak list (8 most intense, 2θ from 5° to 70°, low angle first)
| 2θ/deg | d/Å | I_rel |
| --- | --- | --- |
| 30.2 | 2.958 | 36 |
| 30.4 | 2.943 | 30 |
| 35.9 | 2.499 | 41 |
| 41.4 | 2.181 | 34 |
| 42.2 | 2.141 | 65 |
| 42.6 | 2.123 | 100 |
| 45.0 | 2.013 | 41 |
| 68.6 | 1.368 | 23 |

Cell and atoms:
a b c (Å): 5.0567 8.6242 8.0518
angles (deg): 90.00 90.00 90.00
Space group Cmmm (No. 65)
Unique sites:
La1 0.0000 0.0000 0.2338
Al1 0.0000 0.5000 0.5000
Ni1 0.0000 0.3310 0.2507
Ni2 0.0000 0.5000 0.0000
Ni3 0.2500 0.2500 0.0000
Ni4 0.2500 0.2500 0.5000